For Tm3Rh, a cell relaxed with PBE gives the simulated powder XRD pattern in this record (CuKα).
Neutral-atom scattering factors, no anomalous dispersion.

Principal peaks in the range 10 to 90 degrees two-theta, in order of falling intensity:
2θ/deg, Rel. int.
31.7, 100
35.4, 57
33.0, 31
37.1, 24
34.8, 21
56.4, 19
53.9, 16
45.0, 14
65.1, 12
61.2, 12

Structure:
```
data_Tm3Rh
_chemical_formula_sum 'Tm12 Rh4'
_cell_length_a 8.6859
_cell_length_b 8.6859
_cell_length_c 8.6859
_cell_angle_alpha 96.91
_cell_angle_beta 96.91
_cell_angle_gamma 139.41
_space_group_name_H-M_alt 'P 1'
_space_group_IT_number 1
loop_
_space_group_symop_operation_xyz
'x,y,z'
loop_
_atom_site_label
_atom_site_fract_x
_atom_site_fract_y
_atom_site_fract_z
Tm1 0.0000 0.3575 0.3575
Tm2 0.0000 0.6425 0.6425
Tm3 0.0985 0.0985 0.5940
Tm4 0.1553 0.3454 0.0000
Tm5 0.3454 0.1553 0.0000
Tm6 0.3575 0.0000 0.3575
Tm7 0.4955 0.9015 0.0000
Tm8 0.5045 0.5045 0.4060
Tm9 0.6425 0.0000 0.6425
Tm10 0.6546 0.6546 0.8099
Tm11 0.8447 0.8447 0.1901
Tm12 0.9015 0.4955 0.0000
Rh1 0.2069 0.5000 0.7069
Rh2 0.5000 0.2069 0.7069
Rh3 0.5000 0.7931 0.2931
Rh4 0.7931 0.5000 0.2931
```